[1]
Structure and theoretical X-ray diffraction stick pattern of Sm2AgTe3 (a structure optimized by DFT (GGA-PBE); Cu Kα, 1.54184 Å).
Peak positions follow from Bragg's law for the DFT cell and can differ from measured ones.

Atomic structure:
a b c (Å): 9.2992 4.2965 17.5328
angles (deg): 90.00 90.00 90.00
Element x y z (fractional)
Sm (0.0414, 0.2500, 0.2159)
Sm (0.2481, 0.7500, 0.4749)
Sm (0.2519, 0.2500, 0.9749)
Sm (0.4586, 0.7500, 0.7159)
Sm (0.5414, 0.2500, 0.2841)
Sm (0.7481, 0.7500, 0.0251)
Sm (0.7519, 0.2500, 0.5251)
Sm (0.9586, 0.7500, 0.7841)
Ag (0.1384, 0.2500, 0.6352)
Ag (0.3616, 0.7500, 0.1352)
Ag (0.6384, 0.2500, 0.8648)
Ag (0.8616, 0.7500, 0.3648)
Te (0.0296, 0.2500, 0.4048)
Te (0.0835, 0.7500, 0.0780)
Te (0.2220, 0.2500, 0.7880)
Te (0.2780, 0.7500, 0.2880)
Te (0.4165, 0.2500, 0.5780)
Te (0.4704, 0.7500, 0.9048)
Te (0.5296, 0.2500, 0.0952)
Te (0.5835, 0.7500, 0.4220)
Te (0.7220, 0.2500, 0.7120)
Te (0.7780, 0.7500, 0.2120)
Te (0.9165, 0.2500, 0.9220)
Te (0.9704, 0.7500, 0.5952)

Peak list (10 most intense, 10° ≤ 2θ ≤ 80°, sorted by position)
- 27.2°, rel. 27, (1 0 5)
- 28.7°, rel. 97, (2 1 1)
- 30.1°, rel. 24, (2 1 2)
- 30.7°, rel. 100, (1 1 4)
- 32.1°, rel. 26, (1 0 6)
- 34.4°, rel. 80, (1 1 5)
- 36.1°, rel. 67, (3 1 1)
- 37.2°, rel. 26, (1 0 7)
- 39.1°, rel. 26, (4 0 1)
- 42.1°, rel. 56, (0 2 0)

[2]
Structure and theoretical X-ray diffraction stick pattern of FeAs2Pd2 (a structure optimized by DFT (GGA-PBE); Cu Kα, 1.54184 Å).
Peak positions follow from Bragg's law for the DFT cell and can differ from measured ones.

Atomic structure:
a b c (Å): 4.2579 4.2579 9.9014
angles (deg): 90.00 90.00 90.00
Element x y z (fractional)
Fe (0.0000, 0.0000, 0.0000)
Fe (0.5000, 0.5000, 0.5000)
As (0.0000, 0.0000, 0.3804)
As (0.0000, 0.0000, 0.6196)
As (0.5000, 0.5000, 0.1196)
As (0.5000, 0.5000, 0.8804)
Pd (0.0000, 0.5000, 0.2500)
Pd (0.0000, 0.5000, 0.7500)
Pd (0.5000, 0.0000, 0.2500)
Pd (0.5000, 0.0000, 0.7500)

Peak list (10 most intense, 10° ≤ 2θ ≤ 80°, sorted by position)
- 17.9°, rel. 35, (0 0 2)
- 34.4°, rel. 31, (1 0 3)
- 34.9°, rel. 100, (1 1 2)
- 42.5°, rel. 65, (2 0 0)
- 46.4°, rel. 12, (2 0 2)
- 47.6°, rel. 49, (1 1 4)
- 50.9°, rel. 14, (1 0 5)
- 55.7°, rel. 18, (0 0 6)
- 61.6°, rel. 21, (2 2 0)
- 72.8°, rel. 22, (3 1 2)

[3]
Structure and theoretical X-ray diffraction stick pattern of Li2HgMo (a structure optimized by DFT (GGA-PBE); Cu Kα, 1.54184 Å).
Peak positions follow from Bragg's law for the DFT cell and can differ from measured ones.

Atomic structure:
a b c (Å): 6.4311 6.4311 6.4311
angles (deg): 90.00 90.00 90.00
Element x y z (fractional)
Li (0.0000, 0.0000, 0.0000)
Li (0.0000, 0.5000, 0.5000)
Li (0.2500, 0.2500, 0.2500)
Li (0.2500, 0.7500, 0.7500)
Li (0.5000, 0.0000, 0.5000)
Li (0.5000, 0.5000, 0.0000)
Li (0.7500, 0.2500, 0.7500)
Li (0.7500, 0.7500, 0.2500)
Hg (0.2500, 0.2500, 0.7500)
Hg (0.2500, 0.7500, 0.2500)
Hg (0.7500, 0.2500, 0.2500)
Hg (0.7500, 0.7500, 0.7500)
Mo (0.0000, 0.0000, 0.5000)
Mo (0.0000, 0.5000, 0.0000)
Mo (0.5000, 0.0000, 0.0000)
Mo (0.5000, 0.5000, 0.5000)

Peak list (10 most intense, 10° ≤ 2θ ≤ 80°, sorted by position)
- 24.0°, rel. 100, (1 1 1)
- 27.7°, rel. 11, (2 0 0)
- 39.6°, rel. 84, (2 2 0)
- 46.9°, rel. 51, (3 1 1)
- 49.1°, rel. 4, (2 2 2)
- 57.3°, rel. 14, (4 0 0)
- 63.0°, rel. 21, (3 3 1)
- 64.8°, rel. 5, (4 2 0)
- 71.9°, rel. 29, (4 2 2)
- 77.1°, rel. 16, (5 1 1)